1.
Starting from a crystal structure in Alexandria, relaxed with GGA-PBE, the X-ray powder pattern of PmThSn4 was calculated for λ = 1.5418 Å (Cu Kα).

Crystal structure
```
data_PmThSn4
_space_group_name_H-M_alt 'P 1'
_space_group_IT_number 1
_space_group_name_Hall 'P 1'
_cell_length_a 6.3898
_cell_length_b 6.3898
_cell_length_c 11.5219
_cell_angle_alpha 92.89
_cell_angle_beta 92.89
_cell_angle_gamma 47.56
loop_
_atom_site_label
_atom_site_type_symbol
_atom_site_fract_x
_atom_site_fract_y
_atom_site_fract_z
Pm1 Pm 0.0000 0.5000 0.0000
Pm2 Pm 0.5000 0.0000 0.5000
Th1 Th 0.2491 0.7509 0.2500
Th2 Th 0.7509 0.2491 0.7500
Sn1 Sn 0.0368 0.5322 0.7045
Sn2 Sn 0.2139 0.7140 0.5440
Sn3 Sn 0.2860 0.7861 0.9560
Sn4 Sn 0.4678 0.9632 0.7955
Sn5 Sn 0.5322 0.0368 0.2045
Sn6 Sn 0.7140 0.2139 0.0440
Sn7 Sn 0.7861 0.2860 0.4560
Sn8 Sn 0.9632 0.4678 0.2955
```

Peak list (10 most intense, 2θ from 5° to 70°, by intensity)
d_spacing	Position (°2θ)	intensity
2.467	36.42	100
2.943	30.37	94
2.966	30.13	68
2.577	34.82	56
2.919	30.63	49
2.876	31.10	35
1.932	47.04	31
1.995	45.47	26
1.577	58.52	25
1.561	59.19	24

2.
Starting from a crystal structure in Alexandria, relaxed with GGA-PBE, the X-ray powder pattern of Pm6TlSn6 was calculated for λ = 1.5418 Å (Cu Kα).

Crystal structure
```
data_Pm6TlSn6
_space_group_name_H-M_alt 'P 1'
_space_group_IT_number 1
_space_group_name_Hall 'P 1'
_cell_length_a 6.5335
_cell_length_b 6.5335
_cell_length_c 10.5115
_cell_angle_alpha 90.00
_cell_angle_beta 90.00
_cell_angle_gamma 120.00
loop_
_atom_site_label
_atom_site_type_symbol
_atom_site_fract_x
_atom_site_fract_y
_atom_site_fract_z
Pm1 Pm 0.0000 0.0000 0.1893
Pm2 Pm 0.0000 0.0000 0.8107
Pm3 Pm 0.3333 0.6667 0.0000
Pm4 Pm 0.3333 0.6667 0.5000
Pm5 Pm 0.6667 0.3333 0.0000
Pm6 Pm 0.6667 0.3333 0.5000
Tl1 Tl 0.0000 0.0000 0.5000
Sn1 Sn 0.0000 0.5000 0.2500
Sn2 Sn 0.0000 0.5000 0.7500
Sn3 Sn 0.5000 0.0000 0.2500
Sn4 Sn 0.5000 0.0000 0.7500
Sn5 Sn 0.5000 0.5000 0.2500
Sn6 Sn 0.5000 0.5000 0.7500
```

Peak list (10 most intense, 2θ from 5° to 70°, by intensity)
d_spacing	Position (°2θ)	intensity
2.491	36.05	100
2.774	32.27	83
3.267	27.30	68
2.829	31.63	57
1.633	56.33	43
2.628	34.12	42
1.387	67.52	36
2.979	30.00	33
1.544	59.91	32
2.387	37.68	27

3.
Starting from a crystal structure in Alexandria, relaxed with GGA-PBE, the X-ray powder pattern of Pm2TlSn2 was calculated for λ = 1.5418 Å (Cu Kα).

Crystal structure
```
data_Pm2TlSn2
_space_group_name_H-M_alt 'P 1'
_space_group_IT_number 1
_space_group_name_Hall 'P 1'
_cell_length_a 5.4459
_cell_length_b 5.4459
_cell_length_c 6.3888
_cell_angle_alpha 90.00
_cell_angle_beta 90.00
_cell_angle_gamma 120.00
loop_
_atom_site_label
_atom_site_type_symbol
_atom_site_fract_x
_atom_site_fract_y
_atom_site_fract_z
Pm1 Pm 0.3333 0.6667 0.2363
Pm2 Pm 0.6667 0.3333 0.7637
Tl1 Tl 0.0000 0.0000 0.0000
Sn1 Sn 0.3333 0.6667 0.7250
Sn2 Sn 0.6667 0.3333 0.2750
```

Peak list (10 most intense, 2θ from 5° to 70°, by intensity)
d_spacing	Position (°2θ)	intensity
2.723	32.89	100
2.645	33.89	76
3.794	23.45	38
1.557	59.37	31
1.897	47.95	29
1.378	68.05	21
1.572	58.73	19
2.072	43.68	18
6.389	13.86	17
1.361	68.98	12

4.
Starting from a crystal structure in Alexandria, relaxed with GGA-PBE, the X-ray powder pattern of Pm6Tl5Sn was calculated for λ = 1.5418 Å (Cu Kα).

Crystal structure
```
data_Pm6Tl5Sn
_space_group_name_H-M_alt 'P 1'
_space_group_IT_number 1
_space_group_name_Hall 'P 1'
_cell_length_a 8.6943
_cell_length_b 8.6943
_cell_length_c 7.7067
_cell_angle_alpha 90.00
_cell_angle_beta 90.00
_cell_angle_gamma 143.22
loop_
_atom_site_label
_atom_site_type_symbol
_atom_site_fract_x
_atom_site_fract_y
_atom_site_fract_z
Pm1 Pm 0.0000 0.0000 0.2449
Pm2 Pm 0.0000 0.0000 0.7551
Pm3 Pm 0.3356 0.6644 0.2509
Pm4 Pm 0.3356 0.6644 0.7491
Pm5 Pm 0.6644 0.3356 0.2509
Pm6 Pm 0.6644 0.3356 0.7491
Tl1 Tl 0.1664 0.8336 0.5000
Tl2 Tl 0.1721 0.8279 0.0000
Tl3 Tl 0.5000 0.5000 0.5000
Tl4 Tl 0.8279 0.1721 0.0000
Tl5 Tl 0.8336 0.1664 0.5000
Sn1 Sn 0.5000 0.5000 0.0000
```

Peak list (10 most intense, 2θ from 5° to 70°, by intensity)
d_spacing	Position (°2θ)	intensity
2.736	32.74	100
2.747	32.60	50
1.582	58.32	20
1.577	58.52	19
1.585	58.21	19
1.942	46.78	19
1.368	68.61	12
1.927	47.17	9
1.372	68.40	3
1.375	68.20	3

5.
Starting from a crystal structure in Alexandria, relaxed with GGA-PBE, the X-ray powder pattern of Pm4Tm5Sn2 was calculated for λ = 1.5418 Å (Cu Kα).

Crystal structure
```
data_Pm4Tm5Sn2
_space_group_name_H-M_alt 'P 1'
_space_group_IT_number 1
_space_group_name_Hall 'P 1'
_cell_length_a 16.0014
_cell_length_b 16.0014
_cell_length_c 16.0014
_cell_angle_alpha 18.69
_cell_angle_beta 18.69
_cell_angle_gamma 18.69
loop_
_atom_site_label
_atom_site_type_symbol
_atom_site_fract_x
_atom_site_fract_y
_atom_site_fract_z
Pm1 Pm 0.0715 0.0715 0.0715
Pm2 Pm 0.2247 0.2247 0.2247
Pm3 Pm 0.7753 0.7753 0.7753
Pm4 Pm 0.9285 0.9285 0.9285
Tm1 Tm 0.0000 0.0000 0.0000
Tm2 Tm 0.1480 0.1480 0.1480
Tm3 Tm 0.3032 0.3032 0.3032
Tm4 Tm 0.6968 0.6968 0.6968
Tm5 Tm 0.8520 0.8520 0.8520
Sn1 Sn 0.3738 0.3738 0.3738
Sn2 Sn 0.6262 0.6262 0.6262
```

Peak list (10 most intense, 2θ from 5° to 70°, by intensity)
d_spacing	Position (°2θ)	intensity
2.598	34.52	100
2.824	31.68	95
15.718	5.62	41
2.697	33.22	38
1.912	47.55	31
1.540	60.07	31
4.480	19.82	23
1.449	64.26	23
1.500	61.85	19
1.518	61.02	13

6.
Starting from a crystal structure in Alexandria, relaxed with GGA-PBE, the X-ray powder pattern of Pm2Tm3Sn4 was calculated for λ = 1.5418 Å (Cu Kα).

Crystal structure
```
data_Pm2Tm3Sn4
_space_group_name_H-M_alt 'P 1'
_space_group_IT_number 1
_space_group_name_Hall 'P 1'
_cell_length_a 9.1785
_cell_length_b 9.1785
_cell_length_c 8.8772
_cell_angle_alpha 90.00
_cell_angle_beta 90.00
_cell_angle_gamma 135.55
loop_
_atom_site_label
_atom_site_type_symbol
_atom_site_fract_x
_atom_site_fract_y
_atom_site_fract_z
Pm1 Pm 0.1112 0.8888 0.9112
Pm2 Pm 0.3888 0.6112 0.4112
Pm3 Pm 0.6112 0.3888 0.5888
Pm4 Pm 0.8888 0.1112 0.0888
Tm1 Tm 0.0000 0.0000 0.5000
Tm2 Tm 0.0428 0.4572 0.7500
Tm3 Tm 0.4572 0.0428 0.2500
Tm4 Tm 0.5000 0.5000 0.0000
Tm5 Tm 0.5428 0.9572 0.7500
Tm6 Tm 0.9572 0.5428 0.2500
Sn1 Sn 0.1864 0.8136 0.5545
Sn2 Sn 0.2185 0.2815 0.7500
Sn3 Sn 0.2815 0.2185 0.2500
Sn4 Sn 0.3136 0.6864 0.0545
Sn5 Sn 0.6864 0.3136 0.9455
Sn6 Sn 0.7185 0.7815 0.7500
Sn7 Sn 0.7815 0.7185 0.2500
Sn8 Sn 0.8136 0.1864 0.4455
```

Peak list (10 most intense, 2θ from 5° to 70°, by intensity)
d_spacing	Position (°2θ)	intensity
2.735	32.75	100
2.887	30.98	76
3.022	29.56	53
2.794	32.03	46
2.698	33.20	35
1.870	48.69	31
2.688	33.33	26
1.967	46.15	24
1.763	51.87	22
3.121	28.60	20

7.
Starting from a crystal structure in Alexandria, relaxed with GGA-PBE, the X-ray powder pattern of Pm4TmSn2 was calculated for λ = 1.5418 Å (Cu Kα).

Crystal structure
```
data_Pm4TmSn2
_space_group_name_H-M_alt 'P 1'
_space_group_IT_number 1
_space_group_name_Hall 'P 1'
_cell_length_a 9.8469
_cell_length_b 9.8469
_cell_length_c 9.8469
_cell_angle_alpha 32.12
_cell_angle_beta 32.12
_cell_angle_gamma 32.12
loop_
_atom_site_label
_atom_site_type_symbol
_atom_site_fract_x
_atom_site_fract_y
_atom_site_fract_z
Pm1 Pm 0.1245 0.1245 0.1245
Pm2 Pm 0.2804 0.2804 0.2804
Pm3 Pm 0.7196 0.7196 0.7196
Pm4 Pm 0.8755 0.8755 0.8755
Tm1 Tm 0.5000 0.5000 0.5000
Sn1 Sn 0.3936 0.3936 0.3936
Sn2 Sn 0.6064 0.6064 0.6064
```

Peak list (10 most intense, 2θ from 5° to 70°, by intensity)
d_spacing	Position (°2θ)	intensity
2.724	32.88	100
2.811	31.84	42
3.608	24.68	31
2.049	44.20	21
1.957	46.40	20
1.573	58.71	19
1.589	58.04	18
2.407	37.35	18
4.654	19.07	18
3.051	29.28	15

8.
Starting from a crystal structure in Alexandria, relaxed with GGA-PBE, the X-ray powder pattern of PmTmSn was calculated for λ = 1.5418 Å (Cu Kα).

Crystal structure
```
data_PmTmSn
_space_group_name_H-M_alt 'P 1'
_space_group_IT_number 1
_space_group_name_Hall 'P 1'
_cell_length_a 9.0326
_cell_length_b 9.0326
_cell_length_c 9.0326
_cell_angle_alpha 150.44
_cell_angle_beta 150.44
_cell_angle_gamma 42.29
loop_
_atom_site_label
_atom_site_type_symbol
_atom_site_fract_x
_atom_site_fract_y
_atom_site_fract_z
Pm1 Pm 0.1755 0.1755 0.0000
Pm2 Pm 0.8245 0.8245 0.0000
Tm1 Tm 0.0000 0.5000 0.5000
Tm2 Tm 0.5000 0.0000 0.5000
Sn1 Sn 0.3675 0.3675 0.0000
Sn2 Sn 0.6325 0.6325 0.0000
```

Peak list (10 most intense, 2θ from 5° to 70°, by intensity)
d_spacing	Position (°2θ)	intensity
3.039	29.39	100
2.577	34.81	99
2.304	39.10	63
1.781	51.29	35
2.808	31.87	33
2.720	32.93	30
1.377	68.08	29
1.629	56.48	22
1.436	64.95	21
8.424	10.50	18

9.
Starting from a crystal structure in Alexandria, relaxed with GGA-PBE, the X-ray powder pattern of Pm2TmSn4 was calculated for λ = 1.5418 Å (Cu Kα).

Crystal structure
```
data_Pm2TmSn4
_space_group_name_H-M_alt 'P 1'
_space_group_IT_number 1
_space_group_name_Hall 'P 1'
_cell_length_a 7.1203
_cell_length_b 7.8705
_cell_length_c 7.8951
_cell_angle_alpha 90.33
_cell_angle_beta 101.27
_cell_angle_gamma 100.81
loop_
_atom_site_label
_atom_site_type_symbol
_atom_site_fract_x
_atom_site_fract_y
_atom_site_fract_z
Pm1 Pm 0.0000 0.0000 0.0000
Pm2 Pm 0.0000 0.0000 0.5000
Pm3 Pm 0.5000 0.0000 0.0000
Pm4 Pm 0.5000 0.5000 0.0000
Tm1 Tm 0.2505 0.5274 0.4742
Tm2 Tm 0.7495 0.4726 0.5258
Sn1 Sn 0.0751 0.3273 0.7790
Sn2 Sn 0.1436 0.7179 0.7802
Sn3 Sn 0.3538 0.2206 0.2810
Sn4 Sn 0.4266 0.2204 0.6715
Sn5 Sn 0.5734 0.7796 0.3285
Sn6 Sn 0.6462 0.7794 0.7190
Sn7 Sn 0.8564 0.2821 0.2198
Sn8 Sn 0.9249 0.6727 0.2210
```

Peak list (10 most intense, 2θ from 5° to 70°, by intensity)
d_spacing	Position (°2θ)	intensity
2.927	30.54	100
2.795	32.02	82
2.802	31.94	66
2.675	33.51	65
2.269	39.72	40
1.932	47.03	37
2.318	38.86	28
2.772	32.30	27
2.292	39.30	27
2.280	39.53	26

10.
Starting from a crystal structure in Alexandria, relaxed with GGA-PBE, the X-ray powder pattern of Pm2TmSn6 was calculated for λ = 1.5418 Å (Cu Kα).

Crystal structure
```
data_Pm2TmSn6
_space_group_name_H-M_alt 'P 1'
_space_group_IT_number 1
_space_group_name_Hall 'P 1'
_cell_length_a 9.4480
_cell_length_b 9.4480
_cell_length_c 4.4881
_cell_angle_alpha 103.71
_cell_angle_beta 103.71
_cell_angle_gamma 42.62
loop_
_atom_site_label
_atom_site_type_symbol
_atom_site_fract_x
_atom_site_fract_y
_atom_site_fract_z
Pm1 Pm 0.0000 0.0000 0.0000
Pm2 Pm 0.2287 0.2287 0.2280
Tm1 Tm 0.6762 0.6762 0.1749
Sn1 Sn 0.0181 0.5924 0.8056
Sn2 Sn 0.2106 0.6345 0.4221
Sn3 Sn 0.3377 0.8798 0.6082
Sn4 Sn 0.5924 0.0181 0.8056
Sn5 Sn 0.6345 0.2106 0.4221
Sn6 Sn 0.8798 0.3377 0.6082
```

Peak list (10 most intense, 2θ from 5° to 70°, by intensity)
d_spacing	Position (°2θ)	intensity
2.693	33.27	100
2.713	33.02	96
2.244	40.19	36
2.672	33.53	29
1.718	53.33	26
2.187	41.28	26
2.817	31.77	23
3.436	25.93	20
1.451	64.21	19
1.472	63.15	19

11.
Starting from a crystal structure in Alexandria, relaxed with GGA-PBE, the X-ray powder pattern of Pm2YSn6 was calculated for λ = 1.5418 Å (Cu Kα).

Crystal structure
```
data_Pm2YSn6
_space_group_name_H-M_alt 'P 1'
_space_group_IT_number 1
_space_group_name_Hall 'P 1'
_cell_length_a 9.4672
_cell_length_b 9.4672
_cell_length_c 4.4893
_cell_angle_alpha 103.69
_cell_angle_beta 103.69
_cell_angle_gamma 42.87
loop_
_atom_site_label
_atom_site_type_symbol
_atom_site_fract_x
_atom_site_fract_y
_atom_site_fract_z
Pm1 Pm 0.0000 0.0000 0.0000
Pm2 Pm 0.2309 0.2309 0.2307
Y1 Y 0.5578 0.5578 0.0585
Sn1 Sn 0.0183 0.5961 0.8071
Sn2 Sn 0.2131 0.6367 0.4240
Sn3 Sn 0.3439 0.8993 0.6218
Sn4 Sn 0.5961 0.0183 0.8071
Sn5 Sn 0.6367 0.2131 0.4240
Sn6 Sn 0.8993 0.3439 0.6218
```

Peak list (10 most intense, 2θ from 5° to 70°, by intensity)
d_spacing	Position (°2θ)	intensity
2.715	32.99	100
2.706	33.11	94
2.245	40.17	37
1.370	68.50	33
2.686	33.36	30
2.137	42.29	27
2.822	31.71	25
2.196	41.11	23
1.478	62.88	20
3.766	23.62	18

12.
Starting from a crystal structure in Alexandria, relaxed with GGA-PBE, the X-ray powder pattern of Pm7YSn2 was calculated for λ = 1.5418 Å (Cu Kα).

Crystal structure
```
data_Pm7YSn2
_space_group_name_H-M_alt 'P 1'
_space_group_IT_number 1
_space_group_name_Hall 'P 1'
_cell_length_a 9.1283
_cell_length_b 9.1283
_cell_length_c 5.6256
_cell_angle_alpha 90.00
_cell_angle_beta 90.00
_cell_angle_gamma 118.93
loop_
_atom_site_label
_atom_site_type_symbol
_atom_site_fract_x
_atom_site_fract_y
_atom_site_fract_z
Pm1 Pm 0.0000 0.0000 0.0000
Pm2 Pm 0.1954 0.4429 0.0000
Pm3 Pm 0.2696 0.7304 0.5000
Pm4 Pm 0.4429 0.1954 0.0000
Pm5 Pm 0.5571 0.8046 0.0000
Pm6 Pm 0.7304 0.2696 0.5000
Pm7 Pm 0.8046 0.5571 0.0000
Y1 Y 0.5000 0.5000 0.5000
Sn1 Sn 0.1968 0.8032 0.0000
Sn2 Sn 0.8032 0.1968 0.0000
```

Peak list (10 most intense, 2θ from 5° to 70°, by intensity)
d_spacing	Position (°2θ)	intensity
2.669	33.57	100
2.632	34.06	99
2.999	29.79	89
5.626	15.75	82
2.813	31.81	80
3.222	27.68	67
2.052	44.14	65
2.407	37.37	33
1.537	60.20	28
3.034	29.44	27